# 1
Calculated powder X-ray diffraction pattern of Cd3SnAu4 for Cu Ka, from DFT lattice parameters and positions (PBE).
Neutral-atom scattering factors, no anomalous dispersion.

Atomic structure:
```
Cd3SnAu4
1.0
-3.429 3.429 3.429
3.429 -3.429 3.429
3.429 3.429 -3.429
Cd Sn Au
3 1 4
Cartesian
3.429 0.000 0.000
0.000 3.429 0.000
0.000 0.000 3.429
0.000 0.000 0.000
1.715 1.715 -1.715
1.715 -1.715 1.715
-1.715 1.715 1.715
1.715 1.715 1.715
```

Top 8 peaks for 2θ = 10–90°, low angle first:
two_theta, d/Å, intensity
25.98, 3.429, 8
37.07, 2.425, 100
45.83, 1.980, 3
53.44, 1.715, 17
60.35, 1.534, 4
66.82, 1.400, 36
78.97, 1.212, 11
84.82, 1.143, 2

---

# 2
Calculated powder X-ray diffraction pattern of CeIn6 for Cu Ka, from DFT lattice parameters and positions (PBE).
Neutral-atom scattering factors, no anomalous dispersion.

Atomic structure:
```
CeIn6
1.0
-3.973 3.973 3.973
3.973 -3.973 3.973
3.973 3.973 -3.973
Ce In
1 6
Cartesian
0.000 0.000 0.000
3.973 1.986 0.000
3.973 0.000 1.986
1.986 3.973 0.000
1.986 0.000 3.973
0.000 3.973 1.986
0.000 1.986 3.973
```

Top 12 peaks for 2θ = 10–90°, low angle first:
two_theta, d/Å, intensity
15.77, 5.619, 12
22.38, 3.973, 42
27.50, 3.244, 100
39.28, 2.294, 29
42.57, 2.124, 61
45.67, 1.986, 31
51.43, 1.777, 17
54.14, 1.694, 15
64.20, 1.451, 17
66.57, 1.405, 20
73.47, 1.289, 18
80.12, 1.198, 10

---

# 3
Calculated powder X-ray diffraction pattern of Ca4P6O19 for Cu Ka, from DFT lattice parameters and positions (PBE).
Neutral-atom scattering factors, no anomalous dispersion.

Atomic structure:
```
Ca4P6O19
1.0
6.955 0.000 0.000
-0.301 9.282 0.000
-2.211 -4.344 12.024
Ca P O
8 12 38
Cartesian
-0.187 1.054 1.782
-0.231 4.565 4.025
-0.071 -2.700 7.604
1.943 7.527 1.473
2.500 -2.589 10.550
4.514 7.637 4.419
4.673 0.372 7.998
4.630 3.884 10.242
-1.152 -2.046 10.576
-0.124 3.127 7.477
1.017 -1.125 4.504
1.646 3.874 1.107
1.192 0.510 7.010
1.122 3.362 10.217
3.321 1.576 1.807
3.251 4.428 5.013
2.797 1.063 10.917
3.426 6.062 7.520
4.567 1.811 4.547
5.595 6.984 1.448
-2.102 -3.004 11.336
-0.611 6.227 2.524
-1.330 2.538 8.160
0.033 -0.396 3.590
0.450 3.322 1.845
-0.275 4.323 6.576
-0.029 7.065 5.301
0.029 -0.284 7.567
-0.594 -0.922 11.606
0.117 -2.731 10.037
0.663 2.016 6.641
-0.145 3.589 11.002
1.945 5.327 1.142
2.143 0.697 1.461
1.586 -0.012 5.566
0.910 3.590 8.640
2.008 4.294 4.207
2.006 7.685 3.826
2.983 3.123 1.670
1.460 1.814 10.353
2.437 -2.748 8.198
2.435 0.643 7.817
3.532 1.347 3.383
2.856 4.949 6.458
2.300 4.240 10.562
2.498 -0.390 10.881
4.588 1.348 1.022
3.780 2.921 5.383
4.325 7.668 1.987
5.037 5.860 0.417
4.414 5.222 4.457
4.472 -2.128 6.723
4.718 0.614 5.448
3.992 1.616 10.179
4.410 5.333 8.433
5.772 2.400 3.863
5.054 -1.290 9.500
6.545 7.941 0.688
```

Top 12 peaks for 2θ = 10–90°, low angle first:
two_theta, d/Å, intensity
18.43, 4.813, 34
21.50, 4.134, 31
22.89, 3.885, 32
24.00, 3.708, 37
28.43, 3.139, 33
28.57, 3.124, 80
29.01, 3.078, 46
29.72, 3.006, 100
31.01, 2.884, 31
31.26, 2.862, 46
34.08, 2.631, 30
34.90, 2.571, 42

---

# 4
Calculated powder X-ray diffraction pattern of K4Pu3UTe8 for Cu Ka, from DFT lattice parameters and positions (PBE).
Neutral-atom scattering factors, no anomalous dispersion.

Atomic structure:
```
K4Pu3UTe8
1.0
5.527 -5.544 0.000
5.527 5.544 0.000
0.000 0.000 8.459
K Pu U Te
4 3 1 8
Cartesian
0.000 0.000 0.000
2.763 2.772 0.000
2.763 -2.772 0.000
5.527 0.000 0.000
0.000 0.000 4.230
2.763 2.772 4.230
2.763 -2.772 4.230
5.527 0.000 4.230
5.527 2.750 2.443
5.527 2.750 6.017
2.792 0.000 2.444
2.792 0.000 6.015
8.262 0.000 2.444
8.262 0.000 6.015
5.527 -2.750 2.443
5.527 -2.750 6.017
```

Top 12 peaks for 2θ = 10–90°, low angle first:
two_theta, d/Å, intensity
10.46, 8.459, 77
25.07, 3.552, 12
31.13, 2.873, 100
32.29, 2.772, 25
32.40, 2.763, 25
34.08, 2.631, 20
39.38, 2.288, 28
46.40, 1.957, 19
54.61, 1.680, 14
56.87, 1.619, 18
57.00, 1.616, 18
64.56, 1.444, 10